Record 1
Structure and computed PXRD pattern of MgTl5Se4 (the GGA-PBE geometry in Alexandria; copper Kα).

Principal peaks in the range 2θ from 10° to 90°, in order of rising 2θ:
2θ (°), Rel. int.
24.22, 19
26.17, 35
30.69, 100
40.65, 24
43.12, 15
47.10, 16

Structural model:
Cell: 9.744 9.744 8.259 Å, 112.85 112.85 24.87°
Fractional positions:
Mg1 0.000 0.000 0.000
Tl1 0.000 0.000 0.500
Tl2 0.313 0.313 0.664
Tl3 0.342 0.342 0.201
Tl4 0.658 0.658 0.799
Tl5 0.687 0.687 0.336
Se1 0.158 0.158 0.059
Se2 0.475 0.475 0.765
Se3 0.525 0.525 0.235
Se4 0.842 0.842 0.941


Record 2
Structure and computed PXRD pattern of MgMo2P2 (the GGA-PBE geometry in Alexandria; copper Kα).

Principal peaks in the range 2θ from 10° to 90°, in order of rising 2θ:
2θ (°), Rel. int.
18.25, 25
29.05, 37
41.30, 100
41.55, 36
75.11, 12
81.52, 21

Structural model:
Cell: 6.873 6.873 3.110 Å, 90.00 90.00 90.00°
Fractional positions:
Mg1 0.000 0.000 0.000
Mg2 0.500 0.500 0.000
Mo1 0.149 0.351 0.500
Mo2 0.351 0.851 0.500
Mo3 0.649 0.149 0.500
Mo4 0.851 0.649 0.500
P1 0.142 0.642 0.000
P2 0.358 0.142 0.000
P3 0.642 0.858 0.000
P4 0.858 0.358 0.000


Record 3
Structure and computed PXRD pattern of Pu2Be3AlGe4 (the GGA-PBE geometry in Alexandria; copper Kα).

Principal peaks in the range 2θ from 10° to 90°, in order of rising 2θ:
2θ (°), Rel. int.
23.42, 69
30.64, 32
35.24, 60
35.91, 100
43.88, 40
57.48, 30

Structural model:
Cell: 4.127 4.127 9.708 Å, 90.00 90.00 90.00°
Fractional positions:
Pu1 0.000 0.500 0.237
Pu2 0.500 0.000 0.763
Be1 0.000 0.500 0.880
Be2 0.500 0.000 0.120
Be3 0.500 0.500 0.500
Al1 0.000 0.000 0.500
Ge1 0.000 0.000 0.000
Ge2 0.000 0.500 0.647
Ge3 0.500 0.000 0.353
Ge4 0.500 0.500 0.000


Record 4
Structure and computed PXRD pattern of Tb15Y2Th2 (the GGA-PBE geometry in Alexandria; copper Kα).

Principal peaks in the range 2θ from 10° to 90°, in order of rising 2θ:
2θ (°), Rel. int.
10.44, 36
31.17, 73
31.69, 100
32.24, 62
34.14, 42
35.68, 83

Structural model:
Cell: 8.754 8.754 8.754 Å, 78.73 78.73 78.73°
Fractional positions:
Tb1 0.000 0.000 0.500
Tb2 0.000 0.300 0.700
Tb3 0.000 0.500 0.000
Tb4 0.000 0.700 0.300
Tb5 0.149 0.628 0.628
Tb6 0.300 0.000 0.700
Tb7 0.300 0.700 0.000
Tb8 0.372 0.372 0.851
Tb9 0.372 0.851 0.372
Tb10 0.500 0.000 0.000
Tb11 0.628 0.149 0.628
Tb12 0.628 0.628 0.149
Tb13 0.700 0.000 0.300
Tb14 0.700 0.300 0.000
Tb15 0.851 0.372 0.372
Y1 0.316 0.316 0.316
Y2 0.684 0.684 0.684
Th1 0.087 0.087 0.087
Th2 0.913 0.913 0.913


Record 5
Structure and computed PXRD pattern of Mg6Zn5Pd (the GGA-PBE geometry in Alexandria; copper Kα).

Principal peaks in the range 2θ from 10° to 90°, in order of rising 2θ:
2θ (°), Rel. int.
26.67, 35
28.37, 17
37.67, 22
38.48, 29
39.33, 100
54.94, 16

Structural model:
Cell: 4.776 6.293 7.411 Å, 90.00 108.73 90.00°
Fractional positions:
Mg1 0.000 0.243 0.000
Mg2 0.000 0.757 0.000
Mg3 0.387 0.245 0.675
Mg4 0.387 0.755 0.675
Mg5 0.613 0.245 0.325
Mg6 0.613 0.755 0.325
Zn1 0.105 0.000 0.337
Zn2 0.115 0.500 0.343
Zn3 0.500 0.500 0.000
Zn4 0.885 0.500 0.657
Zn5 0.895 0.000 0.663
Pd1 0.500 0.000 0.000


Record 6
Structure and computed PXRD pattern of Hf9Zr4In11 (the GGA-PBE geometry in Alexandria; copper Kα).

Principal peaks in the range 2θ from 10° to 90°, in order of rising 2θ:
2θ (°), Rel. int.
34.90, 100
35.04, 81
39.52, 35
41.14, 51
58.36, 33
71.12, 25

Structural model:
Cell: 13.053 13.053 3.094 Å, 90.00 90.00 91.33°
Fractional positions:
Hf1 0.000 0.000 0.000
Hf2 0.125 0.629 0.000
Hf3 0.294 0.464 0.000
Hf4 0.371 0.875 0.000
Hf5 0.464 0.294 0.000
Hf6 0.536 0.706 0.000
Hf7 0.629 0.125 0.000
Hf8 0.706 0.536 0.000
Hf9 0.875 0.371 0.000
Zr1 0.051 0.219 0.000
Zr2 0.219 0.051 0.000
Zr3 0.781 0.949 0.000
Zr4 0.949 0.781 0.000
In1 0.086 0.423 0.500
In2 0.151 0.849 0.500
In3 0.258 0.258 0.500
In4 0.328 0.672 0.500
In5 0.423 0.086 0.500
In6 0.500 0.500 0.500
In7 0.577 0.914 0.500
In8 0.672 0.328 0.500
In9 0.742 0.742 0.500
In10 0.849 0.151 0.500
In11 0.914 0.577 0.500


Record 7
Structure and computed PXRD pattern of SrPu2TaO8 (the GGA-PBE geometry in Alexandria; copper Kα).

Principal peaks in the range 2θ from 10° to 90°, in order of rising 2θ:
2θ (°), Rel. int.
24.67, 54
25.18, 51
31.18, 100
35.54, 30
47.70, 39
48.28, 37

Structural model:
Cell: 5.050 6.970 5.056 Å, 90.00 91.16 90.00°
Fractional positions:
Sr1 0.000 0.000 0.000
Pu1 0.500 0.255 0.500
Pu2 0.500 0.745 0.500
Ta1 0.000 0.500 0.000
O1 0.195 0.294 0.193
O2 0.195 0.706 0.193
O3 0.290 0.500 0.708
O4 0.330 0.000 0.668
O5 0.670 0.000 0.332
O6 0.710 0.500 0.292
O7 0.805 0.294 0.807
O8 0.805 0.706 0.807


Record 8
Structure and computed PXRD pattern of RbSb2Br8 (the GGA-PBE geometry in Alexandria; copper Kα).

Principal peaks in the range 2θ from 10° to 90°, in order of rising 2θ:
2θ (°), Rel. int.
15.16, 100
20.75, 29
25.80, 42
30.59, 26
33.34, 43
42.23, 35

Structural model:
Cell: 8.561 8.561 9.502 Å, 90.00 90.00 120.00°
Fractional positions:
Rb1 0.000 0.000 0.000
Sb1 0.333 0.667 0.311
Sb2 0.667 0.333 0.689
Br1 0.155 0.309 0.275
Br2 0.155 0.845 0.275
Br3 0.309 0.155 0.725
Br4 0.333 0.667 0.576
Br5 0.667 0.333 0.424
Br6 0.691 0.845 0.275
Br7 0.845 0.155 0.725
Br8 0.845 0.691 0.725